Calculated powder diffractogram of LaGa3Fe10C for Cu Ka, from a structure optimized by DFT (GGA-PBE).
Neutral-atom scattering factors, no anomalous dispersion.

Largest 6 diffraction maxima, in order of rising 2θ, 5 to 70 degrees two-theta:
| two_theta | I_rel |
| --- | --- |
| 37.34 | 57 |
| 37.52 | 60 |
| 37.90 | 82 |
| 45.33 | 51 |
| 45.54 | 100 |
| 46.23 | 79 |

Crystal structure
```
LaGa3Fe10C
1.0
0.0000 5.9361 5.7698
5.8829 0.0000 5.7698
5.8829 5.9361 0.0000
La Ga Fe C
2 6 20 2
direct
0.0000 0.0000 0.5000
0.5000 0.5000 0.0000
0.1945 0.5564 0.4436
0.3137 0.9473 0.0527
0.4468 0.8156 0.5532
0.5564 0.1945 0.8055
0.8156 0.4468 0.1844
0.9473 0.3137 0.6863
0.0376 0.8147 0.1853
0.0414 0.4654 0.3104
0.0468 0.6870 0.9532
0.1794 0.9638 0.8206
0.1895 0.3188 0.0337
0.2506 0.2506 0.7494
0.3135 0.5382 0.6865
0.3188 0.1895 0.4579
0.4654 0.0414 0.1828
0.4713 0.6881 0.3119
0.5382 0.3135 0.4618
0.5421 0.9663 0.6812
0.6870 0.0468 0.3130
0.6881 0.4713 0.5287
0.6896 0.8172 0.9586
0.7533 0.7533 0.2467
0.8147 0.0376 0.9624
0.8172 0.6896 0.5346
0.9638 0.1794 0.0362
0.9663 0.5421 0.8105
0.2506 0.2506 0.2494
0.7506 0.7506 0.7494
```

Calculated powder diffractogram of LaGa4Fe9C for Cu Ka, from a structure optimized by DFT (GGA-PBE).
Neutral-atom scattering factors, no anomalous dispersion.

Largest 6 diffraction maxima, in order of rising 2θ, 5 to 70 degrees two-theta:
| two_theta | I_rel |
| --- | --- |
| 34.34 | 41 |
| 37.36 | 100 |
| 37.66 | 75 |
| 45.41 | 92 |
| 45.58 | 87 |
| 45.92 | 62 |

Crystal structure
```
LaGa4Fe9C
1.0
-4.1795 4.1795 5.8213
4.1795 -4.1795 5.8213
4.1795 4.1795 -5.8213
La Ga Fe C
2 8 18 2
direct
0.2500 0.2500 0.0000
0.7500 0.7500 0.0000
0.0603 0.5603 0.8665
0.1938 0.0603 0.5000
0.3062 0.8062 0.8665
0.4397 0.3062 0.5000
0.5603 0.6938 0.5000
0.6938 0.1938 0.1335
0.8062 0.9397 0.5000
0.9397 0.4397 0.1335
0.0000 0.5000 0.5000
0.0650 0.2121 0.2771
0.0661 0.7820 0.5000
0.2121 0.9350 0.1471
0.2180 0.7180 0.2840
0.2820 0.5661 0.5000
0.2879 0.4350 0.7229
0.4339 0.9339 0.7160
0.4350 0.7121 0.1471
0.5000 0.0000 0.5000
0.5650 0.2879 0.8529
0.5661 0.0661 0.2840
0.7121 0.5650 0.2771
0.7180 0.4339 0.5000
0.7820 0.2820 0.7160
0.7879 0.0650 0.8529
0.9339 0.2180 0.5000
0.9350 0.7879 0.7229
0.0000 0.0000 0.0000
0.5000 0.5000 0.0000
```

Calculated powder diffractogram of Sm2Mn2Ga2Fe13C for Cu Ka, from a structure optimized by DFT (GGA-PBE).
Neutral-atom scattering factors, no anomalous dispersion.

Largest 6 diffraction maxima, in order of rising 2θ, 5 to 70 degrees two-theta:
| two_theta | I_rel |
| --- | --- |
| 29.89 | 31 |
| 36.33 | 51 |
| 37.60 | 38 |
| 42.19 | 74 |
| 42.49 | 100 |
| 43.34 | 61 |

Crystal structure
```
Sm2Mn2Ga2Fe13C
1.0
4.8537 -4.2836 0.0000
4.8537 4.2836 0.0000
-1.0659 0.0000 6.3797
Sm Mn Ga Fe C
2 2 2 13 1
direct
0.1564 0.1564 0.3562
0.8436 0.8436 0.6438
0.0000 0.5000 0.0000
0.5000 0.0000 0.0000
0.3962 0.3962 0.1016
0.6038 0.6038 0.8984
0.1556 0.1556 0.8517
0.1615 0.6554 0.3414
0.2011 0.4986 0.7037
0.2146 0.7854 0.0000
0.3446 0.8385 0.6586
0.4986 0.2011 0.7037
0.5000 0.5000 0.5000
0.5014 0.7989 0.2963
0.6554 0.1615 0.3414
0.7854 0.2146 0.0000
0.7989 0.5014 0.2963
0.8385 0.3446 0.6586
0.8444 0.8444 0.1483
0.0000 0.0000 0.0000
```

Calculated powder diffractogram of PuGa2Fe2C for Cu Ka, from a structure optimized by DFT (GGA-PBE).
Neutral-atom scattering factors, no anomalous dispersion.

Largest 6 diffraction maxima, in order of rising 2θ, 5 to 70 degrees two-theta:
| two_theta | I_rel |
| --- | --- |
| 28.10 | 62 |
| 32.76 | 38 |
| 36.63 | 100 |
| 39.92 | 90 |
| 47.01 | 48 |
| 63.33 | 46 |

Crystal structure
```
PuGa2Fe2C
1.0
3.8657 0.0000 0.0000
0.0000 3.8657 0.0000
0.0000 0.0000 5.5657
Pu Ga Fe C
1 2 2 1
direct
0.0000 0.0000 0.0000
0.5000 0.5000 0.2286
0.5000 0.5000 0.7714
0.0000 0.5000 0.5000
0.5000 0.0000 0.5000
0.0000 0.0000 0.5000
```

Calculated powder diffractogram of Sm2Ga3Fe14C2 for Cu Ka, from a structure optimized by DFT (GGA-PBE).
Neutral-atom scattering factors, no anomalous dispersion.

Largest 6 diffraction maxima, in order of rising 2θ, 5 to 70 degrees two-theta:
| two_theta | I_rel |
| --- | --- |
| 29.74 | 55 |
| 41.44 | 100 |
| 41.73 | 80 |
| 42.01 | 99 |
| 42.13 | 66 |
| 43.41 | 96 |

Crystal structure
```
Sm2Ga3Fe14C2
1.0
4.8858 -4.3301 0.0000
4.8858 4.3301 0.0000
-0.9419 0.0000 6.4563
Sm Ga Fe C
2 3 14 2
direct
0.1498 0.1498 0.3347
0.8502 0.8502 0.6653
0.0000 0.5000 0.0000
0.5000 0.0000 0.0000
0.5000 0.5000 0.5000
0.1533 0.6488 0.3437
0.1563 0.1563 0.8467
0.2142 0.4988 0.7133
0.2146 0.7854 0.0000
0.3512 0.8467 0.6563
0.4079 0.4079 0.0951
0.4988 0.2142 0.7133
0.5012 0.7858 0.2867
0.5921 0.5921 0.9049
0.6488 0.1533 0.3437
0.7854 0.2146 0.0000
0.7858 0.5012 0.2867
0.8437 0.8437 0.1533
0.8467 0.3512 0.6563
0.0000 0.5000 0.5000
0.5000 0.0000 0.5000
```

Calculated powder diffractogram of Sm2Ga2Fe15C2 for Cu Ka, from a structure optimized by DFT (GGA-PBE).
Neutral-atom scattering factors, no anomalous dispersion.

Largest 6 diffraction maxima, in order of rising 2θ, 5 to 70 degrees two-theta:
| two_theta | I_rel |
| --- | --- |
| 36.01 | 38 |
| 37.16 | 24 |
| 41.68 | 100 |
| 41.95 | 85 |
| 42.24 | 73 |
| 43.02 | 62 |

Crystal structure
```
Sm2Ga2Fe15C2
1.0
4.8669 -4.3124 0.0000
4.8669 4.3124 0.0000
-1.0807 0.0000 6.4992
Sm Ga Fe C
2 2 15 2
direct
0.0000 0.0000 0.0000
0.6856 0.6856 0.3427
0.0045 0.5008 0.0112
0.5008 0.0045 0.0112
0.0535 0.3388 0.3833
0.0603 0.6213 0.6693
0.1902 0.6846 0.3395
0.2470 0.2470 0.7622
0.3388 0.0535 0.3833
0.3387 0.8433 0.6722
0.3456 0.3456 0.1825
0.3498 0.6313 0.9606
0.4394 0.4394 0.5802
0.6213 0.0603 0.6693
0.6313 0.3498 0.9606
0.6807 0.6807 0.8076
0.6846 0.1902 0.3395
0.8433 0.3387 0.6722
0.9972 0.9972 0.5268
0.3283 0.8302 0.1825
0.8302 0.3283 0.1825
```

Calculated powder diffractogram of Y2Ga3Fe14C2 for Cu Ka, from a structure optimized by DFT (GGA-PBE).
Neutral-atom scattering factors, no anomalous dispersion.

Largest 6 diffraction maxima, in order of rising 2θ, 5 to 70 degrees two-theta:
| two_theta | I_rel |
| --- | --- |
| 41.71 | 77 |
| 42.00 | 45 |
| 42.21 | 35 |
| 42.38 | 100 |
| 43.36 | 62 |
| 47.29 | 50 |

Crystal structure
```
Y2Ga3Fe14C2
1.0
4.8753 -4.2815 0.0000
4.8753 4.2815 0.0000
-0.9817 0.0000 6.4465
Y Ga Fe C
2 3 14 2
direct
0.1518 0.1518 0.3386
0.8482 0.8482 0.6614
0.0000 0.5000 0.0000
0.5000 0.0000 0.0000
0.5000 0.5000 0.5000
0.1515 0.6508 0.3450
0.1551 0.1551 0.8460
0.2052 0.7948 0.0000
0.2143 0.5016 0.7147
0.3492 0.8485 0.6550
0.4085 0.4085 0.0953
0.4984 0.7857 0.2853
0.5016 0.2143 0.7147
0.5915 0.5915 0.9047
0.6508 0.1515 0.3450
0.7857 0.4984 0.2853
0.7948 0.2052 0.0000
0.8449 0.8449 0.1540
0.8485 0.3492 0.6550
0.0000 0.5000 0.5000
0.5000 0.0000 0.5000
```

Calculated powder diffractogram of PmFe2Ge2C for Cu Ka, from a structure optimized by DFT (GGA-PBE).
Neutral-atom scattering factors, no anomalous dispersion.

Largest 6 diffraction maxima, in order of rising 2θ, 5 to 70 degrees two-theta:
| two_theta | I_rel |
| --- | --- |
| 27.79 | 37 |
| 31.88 | 34 |
| 35.98 | 100 |
| 40.08 | 93 |
| 45.72 | 61 |
| 62.40 | 49 |

Crystal structure
```
PmFe2Ge2C
1.0
3.9693 0.0000 0.0000
0.0000 3.9693 0.0000
0.0000 0.0000 5.4605
Pm Fe Ge C
1 2 2 1
direct
0.0000 0.0000 0.0000
0.0000 0.5000 0.5000
0.5000 0.0000 0.5000
0.5000 0.5000 0.2321
0.5000 0.5000 0.7679
0.0000 0.0000 0.5000
```

Calculated powder diffractogram of Pu2Fe5Ge3C2 for Cu Ka, from a structure optimized by DFT (GGA-PBE).
Neutral-atom scattering factors, no anomalous dispersion.

Largest 6 diffraction maxima, in order of rising 2θ, 5 to 70 degrees two-theta:
| two_theta | I_rel |
| --- | --- |
| 30.70 | 78 |
| 32.28 | 60 |
| 33.34 | 62 |
| 36.92 | 72 |
| 40.98 | 100 |
| 46.30 | 77 |

Crystal structure
```
Pu2Fe5Ge3C2
1.0
-1.9611 1.9611 10.8677
1.9611 -1.9611 10.8677
1.9611 1.9611 -10.8677
Pu Fe Ge C
2 5 3 2
direct
0.1967 0.1967 0.0000
0.8033 0.8033 0.0000
0.0000 0.0000 0.0000
0.0791 0.5791 0.5000
0.4209 0.9209 0.5000
0.5791 0.0791 0.5000
0.9209 0.4209 0.5000
0.3459 0.3459 0.0000
0.5000 0.5000 0.0000
0.6541 0.6541 0.0000
0.0884 0.0884 0.0000
0.9116 0.9116 0.0000
```

Calculated powder diffractogram of SmFe2Ge2C for Cu Ka, from a structure optimized by DFT (GGA-PBE).
Neutral-atom scattering factors, no anomalous dispersion.

Largest 6 diffraction maxima, in order of rising 2θ, 5 to 70 degrees two-theta:
| two_theta | I_rel |
| --- | --- |
| 27.85 | 38 |
| 31.94 | 34 |
| 36.05 | 100 |
| 40.20 | 92 |
| 45.80 | 61 |
| 62.55 | 49 |

Crystal structure
```
SmFe2Ge2C
1.0
3.9623 0.0000 0.0000
0.0000 3.9623 0.0000
0.0000 0.0000 5.4430
Sm Fe Ge C
1 2 2 1
direct
0.0000 0.0000 0.0000
0.0000 0.5000 0.5000
0.5000 0.0000 0.5000
0.5000 0.5000 0.2314
0.5000 0.5000 0.7686
0.0000 0.0000 0.5000
```

Calculated powder diffractogram of FeH2C2N4 for Cu Ka, from a structure optimized by DFT (GGA-PBE).
Neutral-atom scattering factors, no anomalous dispersion.

Largest 6 diffraction maxima, in order of rising 2θ, 5 to 70 degrees two-theta:
| two_theta | I_rel |
| --- | --- |
| 17.47 | 100 |
| 20.56 | 17 |
| 31.60 | 33 |
| 33.30 | 13 |
| 41.83 | 40 |
| 56.89 | 13 |

Crystal structure
```
FeH2C2N4
1.0
6.2716 0.0000 0.0000
0.0000 8.6397 0.0000
0.0000 0.0000 3.1735
Fe H C N
2 4 4 8
direct
0.0000 0.0000 0.0000
0.5000 0.5000 0.5000
0.1922 0.4488 0.0000
0.3078 0.9488 0.5000
0.6922 0.0512 0.5000
0.8078 0.5512 0.0000
0.1877 0.6742 0.0000
0.3123 0.1742 0.5000
0.6877 0.8258 0.5000
0.8123 0.3258 0.0000
0.1062 0.7974 0.0000
0.2058 0.0418 0.5000
0.2942 0.5418 0.0000
0.3938 0.2974 0.5000
0.6062 0.7026 0.5000
0.7058 0.4582 0.0000
0.7942 0.9582 0.5000
0.8938 0.2026 0.0000
```